# MgV8Zn4O16
Calculated powder X-ray diffraction pattern, Cu Kα X-rays. Input: the PBE+U geometry in the Materials Project.
Neutral-atom scattering factors, no anomalous dispersion.

Peak list (12 most intense, 10° ≤ 2θ ≤ 90°, by angle)
2θ 27.4, d = 3.254 Å, I = 24, (0 1 -3)
2θ 29.9, d = 2.993 Å, I = 100, (0 2 3)
2θ 32.2, d = 2.779 Å, I = 81, (0 2 -3)
2θ 34.8, d = 2.582 Å, I = 36, (1 -2 0)
2θ 34.9, d = 2.572 Å, I = 21, (1 2 0)
2θ 36.3, d = 2.477 Å, I = 45, (0 4 0)
2θ 39.7, d = 2.268 Å, I = 32, (0 2 -4)
2θ 41.6, d = 2.171 Å, I = 28, (-1 3 1)
2θ 41.9, d = 2.157 Å, I = 49, (1 3 2)
2θ 43.5, d = 2.080 Å, I = 25, (1 -3 2)
2θ 47.5, d = 1.914 Å, I = 21, (1 -3 3)
2θ 64.0, d = 1.454 Å, I = 32, (0 6 -3)

Structural model:
Lattice parameters (Å, degrees): 3.037 9.939 10.720 85.52 83.54 89.72
Space group P1 (No. 1)
Unique sites:
Mg: 0.000 0.000 0.000
V: 0.010 0.743 0.889
V: 0.178 0.499 0.755
V: 0.399 0.512 0.413
V: 0.465 0.760 0.260
V: 0.539 0.987 0.748
V: 0.596 0.256 0.897
V: 0.833 0.008 0.442
V: 0.923 0.292 0.288
Zn: 0.043 0.245 0.601
Zn: 0.376 0.518 0.061
Zn: 0.448 0.035 0.211
Zn: 0.850 0.737 0.555
O: 0.036 0.861 0.713
O: 0.062 0.115 0.828
O: 0.118 0.385 0.938
O: 0.320 0.598 0.586
O: 0.339 0.867 0.437
O: 0.391 0.157 0.345
O: 0.440 0.411 0.232
O: 0.484 0.879 0.925
O: 0.490 0.129 0.047
O: 0.553 0.113 0.592
O: 0.592 0.619 0.826
O: 0.717 0.366 0.725
O: 0.878 0.649 0.061
O: 0.892 0.377 0.452
O: 0.923 0.641 0.355
O: 0.965 0.907 0.186